Record 1
The following is a simulated PXRD pattern of RbTaGe2S8. It was derived from a GGA-PBE-relaxed structure, using Cu Kα X-rays.
Neutral-atom scattering factors, no anomalous dispersion.

Atomic structure:
```
data_RbTaGe2S8
_chemical_formula_sum 'Rb1 Ta1 Ge2 S8'
_space_group_name_H-M_alt 'P -3'
_space_group_IT_number 147
_space_group_name_Hall '-P 3'
_cell_length_a 6.2072
_cell_length_b 6.2072
_cell_length_c 8.8818
_cell_angle_alpha 90.00
_cell_angle_beta 90.00
_cell_angle_gamma 120.00
loop_
_atom_site_label
_atom_site_fract_x
_atom_site_fract_y
_atom_site_fract_z
Rb1 0.0000 0.0000 0.0000
Ta1 0.0000 0.0000 0.5000
Ge1 0.3333 0.6667 0.7239
S1 0.0177 0.6828 0.3451
S2 0.3333 0.6667 0.9730
```

Top 12 peaks for 10° ≤ 2θ ≤ 90°, by angle:
(hkl)	Position (°2θ)	intensity
1 0 0	16.49	39.8
0 1 1	19.30	68.9
0 1 2	26.03	100.0
1 1 0	28.76	62.4
1 0 3	34.59	16.2
2 0 1	34.88	18.4
2 -1 2	35.28	36.2
2 0 2	39.18	36.4
3 -2 1	45.81	15.5
3 -2 2	49.32	36.5
1 1 4	50.54	46.4
3 0 0	50.96	37.3

***

Record 2
The following is a simulated PXRD pattern of Rb3Tm3GeS8. It was derived from a GGA-PBE-relaxed structure, using Cu Kα X-rays.
Neutral-atom scattering factors, no anomalous dispersion.

Atomic structure:
```
data_Rb3Tm3GeS8
_chemical_formula_sum 'Rb9 Tm9 Ge3 S24'
_space_group_name_H-M_alt 'R -3 m'
_space_group_IT_number 166
_space_group_name_Hall '-R 3 2"'
_cell_length_a 7.8229
_cell_length_b 7.8229
_cell_length_c 23.5526
_cell_angle_alpha 90.00
_cell_angle_beta 90.00
_cell_angle_gamma 120.00
loop_
_atom_site_label
_atom_site_fract_x
_atom_site_fract_y
_atom_site_fract_z
Rb1 0.0000 0.5000 0.0000
Tm1 0.0000 0.5000 0.5000
Ge1 0.0000 0.0000 0.5000
S1 0.0000 0.0000 0.2294
S2 0.0257 0.5129 0.2261
```

Top 12 peaks for 10° ≤ 2θ ≤ 90°, by angle:
(hkl)	Position (°2θ)	intensity
0 0 3	11.27	58.0
0 1 2	15.09	14.0
0 0 6	22.67	32.4
2 0 2	27.40	39.2
0 2 4	30.44	100.0
0 2 7	37.68	14.4
2 0 8	40.60	37.6
2 2 0	46.43	33.8
0 2 10	46.99	18.3
2 2 6	52.26	18.4
4 0 4	56.54	16.1
2 4 4	76.08	13.3

***

Record 3
The following is a simulated PXRD pattern of RbUGeS6. It was derived from a GGA-PBE-relaxed structure, using Cu Kα X-rays.
Neutral-atom scattering factors, no anomalous dispersion.

Atomic structure:
```
data_RbUGeS6
_chemical_formula_sum 'Rb1 U1 Ge1 S6'
_space_group_name_H-M_alt 'P 1'
_space_group_IT_number 1
_space_group_name_Hall 'P 1'
_cell_length_a 4.9571
_cell_length_b 7.3339
_cell_length_c 7.8632
_cell_angle_alpha 85.70
_cell_angle_beta 78.80
_cell_angle_gamma 71.37
loop_
_atom_site_label
_atom_site_fract_x
_atom_site_fract_y
_atom_site_fract_z
Rb1 0.0000 0.0000 0.0000
U1 0.3438 0.3540 0.5287
Ge1 0.5236 0.8568 0.4944
S1 0.2110 0.7092 0.6288
S2 0.3563 0.0884 0.3022
S3 0.5817 0.0284 0.6973
S4 0.6646 0.4768 0.2453
S5 0.8544 0.3712 0.6882
S6 0.9113 0.6267 0.3213
```

Top 12 peaks for 10° ≤ 2θ ≤ 90°, by angle:
(hkl)	Position (°2θ)	intensity
0 0 1	11.47	100.0
0 1 1	17.06	29.0
1 0 1	20.55	41.1
0 0 2	23.06	16.3
1 0 -1	24.17	20.6
1 1 -1	24.47	27.1
1 0 2	27.35	18.1
0 2 1	28.02	15.5
0 2 -1	28.32	17.0
1 -1 2	32.88	21.4
1 2 2	33.01	22.5
2 1 0	36.96	19.4

***

Record 4
The following is a simulated PXRD pattern of RbZn2GeS4. It was derived from a GGA-PBE-relaxed structure, using Cu Kα X-rays.
Neutral-atom scattering factors, no anomalous dispersion.

Atomic structure:
```
data_RbZn2GeS4
_chemical_formula_sum 'Rb4 Zn8 Ge4 S16'
_space_group_name_H-M_alt 'F m m 2'
_space_group_IT_number 42
_space_group_name_Hall 'F 2 -2'
_cell_length_a 9.0759
_cell_length_b 9.4182
_cell_length_c 9.0740
_cell_angle_alpha 90.00
_cell_angle_beta 90.00
_cell_angle_gamma 90.00
loop_
_atom_site_label
_atom_site_fract_x
_atom_site_fract_y
_atom_site_fract_z
Rb1 0.0000 0.0000 0.0000
Zn1 0.2500 0.2500 0.2492
Ge1 0.0000 0.0000 0.5114
S1 0.0000 0.1910 0.3560
S2 0.1984 0.0000 0.6682
```

Top 12 peaks for 10° ≤ 2θ ≤ 90°, by angle:
(hkl)	Position (°2θ)	intensity
0 2 2	27.29	100.0
2 0 2	27.81	79.8
0 4 0	38.22	21.5
4 0 0	39.73	26.8
2 4 2	47.92	34.4
2 2 4	48.87	69.3
4 4 0	56.31	17.2
2 6 0	62.62	10.7
0 2 6	64.74	11.6
2 6 4	76.77	12.8
6 4 2	77.98	10.6
6 2 4	78.70	13.3

***

Record 5
The following is a simulated PXRD pattern of Rb2Ge2Sb3. It was derived from a GGA-PBE-relaxed structure, using Cu Kα X-rays.
Neutral-atom scattering factors, no anomalous dispersion.

Atomic structure:
```
data_Rb2Ge2Sb3
_chemical_formula_sum 'Rb4 Ge4 Sb6'
_space_group_name_H-M_alt 'P 1 21/c 1'
_space_group_IT_number 14
_space_group_name_Hall '-P 2ybc'
_cell_length_a 6.7246
_cell_length_b 10.8191
_cell_length_c 6.9892
_cell_angle_alpha 90.00
_cell_angle_beta 111.22
_cell_angle_gamma 90.00
loop_
_atom_site_label
_atom_site_fract_x
_atom_site_fract_y
_atom_site_fract_z
Rb1 0.0846 0.1572 0.0323
Ge1 0.3858 0.6331 0.0522
Sb1 0.0000 0.0000 0.5000
Sb2 0.4805 0.0926 0.7714
```

Top 12 peaks for 10° ≤ 2θ ≤ 90°, by angle:
(hkl)	Position (°2θ)	intensity
1 0 -2	25.86	82.9
1 2 1	28.34	100.0
2 0 0	28.48	57.9
1 3 -1	29.38	55.8
2 1 -2	32.74	23.8
0 4 0	33.08	29.6
1 3 1	33.97	44.2
1 4 0	36.17	24.9
3 0 -2	42.08	26.9
0 2 3	44.98	27.2
3 2 1	53.42	24.8
0 6 2	58.50	23.2

***

Record 6
The following is a simulated PXRD pattern of Rb3Ge2Sb5. It was derived from a GGA-PBE-relaxed structure, using Cu Kα X-rays.
Neutral-atom scattering factors, no anomalous dispersion.

Atomic structure:
```
data_Rb3Ge2Sb5
_chemical_formula_sum 'Rb12 Ge8 Sb20'
_space_group_name_H-M_alt 'I b a m'
_space_group_IT_number 72
_space_group_name_Hall '-I 2 2c'
_cell_length_a 10.0356
_cell_length_b 17.8021
_cell_length_c 7.9124
_cell_angle_alpha 90.00
_cell_angle_beta 90.00
_cell_angle_gamma 90.00
loop_
_atom_site_label
_atom_site_fract_x
_atom_site_fract_y
_atom_site_fract_z
Rb1 0.0000 0.0000 0.2500
Rb2 0.2366 0.3574 0.0000
Ge1 0.0988 0.1481 0.0000
Sb1 0.0000 0.2438 0.2500
Sb2 0.0000 0.5000 0.2500
Sb3 0.1224 0.3716 0.5000
```

Top 12 peaks for 10° ≤ 2θ ≤ 90°, by angle:
(hkl)	Position (°2θ)	intensity
2 0 0	17.68	22.3
2 4 0	26.78	44.4
2 0 2	28.74	38.6
0 4 2	30.23	100.0
3 2 1	30.70	50.6
2 4 2	35.23	16.3
0 8 0	40.54	17.0
4 4 0	41.32	21.1
4 0 2	42.67	17.2
3 2 3	44.94	16.2
0 0 4	45.88	17.0
2 4 4	53.94	18.9